# 1
This entry pairs a crystal structure of Pr4Y5 with its simulated powder X-ray diffraction pattern. Radiation: Cu Kα (weighted mean of Kα1 and Kα2). Structure: a crystal structure in Alexandria, relaxed with PBE.
Peak positions follow from Bragg's law for the DFT cell and can differ from measured ones.

Structure:
```
data_Pr4Y5
_space_group_name_H-M_alt 'I 4/m m m'
_space_group_IT_number 139
_space_group_name_Hall '-I 4 2'
_cell_length_a 10.912
_cell_length_b 10.912
_cell_length_c 5.130
_cell_angle_alpha 90.00
_cell_angle_beta 90.00
_cell_angle_gamma 90.00
loop_
_atom_site_label
_atom_site_type_symbol
_atom_site_fract_x
_atom_site_fract_y
_atom_site_fract_z
Pr1 Pr 0.167 0.167 0.000
Y1 Y 0.000 0.000 0.500
Y2 Y 0.000 0.334 0.500
```

Largest 10 diffraction maxima, by angle, 2θ from 10° to 90°:
| Position (°2θ) | intensity |
| --- | --- |
| 30.12 | 100 |
| 34.92 | 50 |
| 50.21 | 35 |
| 59.63 | 28 |
| 59.76 | 14 |
| 62.62 | 12 |
| 81.59 | 6 |
| 81.71 | 11 |
| 84.20 | 10 |
| 84.40 | 5 |

# 2
This entry pairs a crystal structure of Pr3Y5 with its simulated powder X-ray diffraction pattern. Radiation: Cu Kα (weighted mean of Kα1 and Kα2). Structure: a crystal structure in Alexandria, relaxed with PBE.
Peak positions follow from Bragg's law for the DFT cell and can differ from measured ones.

Structure:
```
data_Pr3Y5
_space_group_name_H-M_alt 'P m m 2'
_space_group_IT_number 25
_cell_length_a 3.679
_cell_length_b 5.800
_cell_length_c 12.787
_cell_angle_alpha 90.00
_cell_angle_beta 90.00
_cell_angle_gamma 90.00
loop_
_space_group_symop_operation_xyz
'x,y,z'
'-x,-y,z'
'-x,y,z'
'x,-y,z'
loop_
_atom_site_label
_atom_site_type_symbol
_atom_site_fract_x
_atom_site_fract_y
_atom_site_fract_z
Pr1 Pr 0.000 0.000 0.000
Pr2 Pr 0.000 0.500 0.174
Pr3 Pr 0.500 0.000 0.254
Y1 Y 0.000 0.000 0.507
Y2 Y 0.000 0.500 0.668
Y3 Y 0.500 0.000 0.751
Y4 Y 0.500 0.500 0.424
Y5 Y 0.500 0.500 0.914
```

Largest 10 diffraction maxima, by angle, 2θ from 10° to 90°:
| Position (°2θ) | intensity |
| --- | --- |
| 27.95 | 24 |
| 30.83 | 25 |
| 32.01 | 100 |
| 42.10 | 16 |
| 49.42 | 13 |
| 55.58 | 20 |
| 59.39 | 15 |
| 59.51 | 7 |
| 60.19 | 10 |
| 85.15 | 8 |

# 3
This entry pairs a crystal structure of Pr13Y3 with its simulated powder X-ray diffraction pattern. Radiation: Cu Kα (weighted mean of Kα1 and Kα2). Structure: a crystal structure in Alexandria, relaxed with PBE.
Peak positions follow from Bragg's law for the DFT cell and can differ from measured ones.

Structure:
```
data_Pr13Y3
_space_group_name_H-M_alt 'A m m 2'
_space_group_IT_number 38
_cell_length_a 10.450
_cell_length_b 10.414
_cell_length_c 10.425
_cell_angle_alpha 90.00
_cell_angle_beta 90.00
_cell_angle_gamma 90.00
loop_
_space_group_symop_operation_xyz
'x,y,z'
'-x,-y,z'
'-x,y,z'
'x,-y,z'
'x,y+1/2,z+1/2'
'-x,-y+1/2,z+1/2'
'-x,y+1/2,z+1/2'
'x,-y+1/2,z+1/2'
loop_
_atom_site_label
_atom_site_type_symbol
_atom_site_fract_x
_atom_site_fract_y
_atom_site_fract_z
Pr1 Pr 0.000 0.000 0.000
Pr2 Pr 0.000 0.000 0.496
Pr3 Pr 0.000 0.248 0.248
Pr4 Pr 0.250 0.000 0.749
Pr5 Pr 0.251 0.249 0.998
Pr6 Pr 0.500 0.000 0.496
Pr7 Pr 0.500 0.249 0.248
Y1 Y 0.252 0.000 0.246
Y2 Y 0.500 0.000 0.000
```

Largest 10 diffraction maxima, by angle, 2θ from 10° to 90°:
| Position (°2θ) | intensity |
| --- | --- |
| 29.67 | 100 |
| 34.37 | 34 |
| 34.45 | 17 |
| 49.43 | 36 |
| 58.63 | 14 |
| 58.77 | 29 |
| 61.61 | 12 |
| 80.20 | 12 |
| 80.32 | 6 |
| 82.82 | 8 |

# 4
This entry pairs a crystal structure of PrY with its simulated powder X-ray diffraction pattern. Radiation: Cu Kα (weighted mean of Kα1 and Kα2). Structure: a crystal structure in Alexandria, relaxed with PBE.
Peak positions follow from Bragg's law for the DFT cell and can differ from measured ones.

Structure:
```
data_PrY
_space_group_name_H-M_alt 'R 3 m'
_space_group_IT_number 160
_space_group_name_Hall 'R 3 -2"'
_cell_length_a 3.7005
_cell_length_b 3.7005
_cell_length_c 52.2962
_cell_angle_alpha 90.00
_cell_angle_beta 90.00
_cell_angle_gamma 120.00
loop_
_atom_site_label
_atom_site_type_symbol
_atom_site_fract_x
_atom_site_fract_y
_atom_site_fract_z
Pr1 Pr 0.0000 0.0000 0.0000
Pr2 Pr 0.0000 0.0000 0.1103
Pr3 Pr 0.0000 0.0000 0.6087
Y1 Y 0.0000 0.0000 0.2197
Y2 Y 0.0000 0.0000 0.4993
Y3 Y 0.0000 0.0000 0.7216
```

Largest 10 diffraction maxima, by angle, 2θ from 10° to 90°:
| Position (°2θ) | intensity |
| --- | --- |
| 28.05 | 49 |
| 30.77 | 47 |
| 31.08 | 100 |
| 32.77 | 93 |
| 39.38 | 16 |
| 44.73 | 16 |
| 49.25 | 38 |
| 53.81 | 21 |
| 57.08 | 20 |
| 59.20 | 43 |

# 5
This entry pairs a crystal structure of PrY3 with its simulated powder X-ray diffraction pattern. Radiation: Cu Kα (weighted mean of Kα1 and Kα2). Structure: a crystal structure in Alexandria, relaxed with PBE.
Peak positions follow from Bragg's law for the DFT cell and can differ from measured ones.

Structure:
```
data_PrY3
_space_group_name_H-M_alt 'I m m 2'
_space_group_IT_number 44
_cell_length_a 3.688
_cell_length_b 11.510
_cell_length_c 6.339
_cell_angle_alpha 90.00
_cell_angle_beta 90.00
_cell_angle_gamma 90.00
loop_
_space_group_symop_operation_xyz
'x,y,z'
'-x,-y,z'
'-x,y,z'
'x,-y,z'
'x+1/2,y+1/2,z+1/2'
'-x+1/2,-y+1/2,z+1/2'
'-x+1/2,y+1/2,z+1/2'
'x+1/2,-y+1/2,z+1/2'
loop_
_atom_site_label
_atom_site_type_symbol
_atom_site_fract_x
_atom_site_fract_y
_atom_site_fract_z
Pr1 Pr 0.000 0.000 0.000
Y1 Y 0.000 0.248 0.337
Y2 Y 0.000 0.500 0.003
```

Largest 10 diffraction maxima, by angle, 2θ from 10° to 90°:
| Position (°2θ) | intensity |
| --- | --- |
| 27.99 | 24 |
| 28.15 | 13 |
| 31.08 | 36 |
| 32.10 | 100 |
| 32.24 | 48 |
| 42.31 | 15 |
| 49.73 | 19 |
| 55.97 | 30 |
| 59.81 | 21 |
| 60.25 | 15 |